# CaTeAuSe
Simulated X-ray powder pattern, copper Kα. Input: a cell relaxed with GGA-PBE.
No peak broadening, texture or thermal motion is included.

Structural model:
```
data_CaTeAuSe
_chemical_formula_sum 'Ca1 Te1 Au1 Se1'
_cell_length_a 4.487
_cell_length_b 4.487
_cell_length_c 6.877
_cell_angle_alpha 90.00
_cell_angle_beta 90.00
_cell_angle_gamma 120.00
_symmetry_space_group_name_H-M 'P 1'
_symmetry_Int_Tables_number 1
_symmetry_space_group_name_Hall 'P 1'
loop_
_atom_site_label
_atom_site_type_symbol
_atom_site_fract_x
_atom_site_fract_y
_atom_site_fract_z
Ca1 Ca 0.000 0.000 0.000
Te1 Te 0.667 0.333 0.681
Au1 Au 0.333 0.667 0.546
Se1 Se 0.333 0.667 0.172
```

Main lines, in order of falling intensity (2θ = 10–90°):
| d [Å] | intensity | (hkl) |
| --- | --- | --- |
| 3.383 | 100.0 | 0 1 1 |
| 2.244 | 75.0 | 1 1 0 |
| 3.886 | 69.1 | 1 0 0 |
| 6.877 | 67.1 | 0 0 1 |
| 1.974 | 61.9 | 0 1 3 |
| 2.575 | 61.1 | 0 1 2 |
| 1.879 | 35.5 | 1 1 2 |
| 3.438 | 32.3 | 0 0 2 |
| 1.237 | 27.1 | 1 2 3 |
| 1.296 | 27.1 | 3 0 0 |
| 1.482 | 24.5 | 2 0 3 |
| 2.133 | 24.2 | 1 1 1 |